[1]
Computed powder X-ray diffraction pattern
Compound: Zr2B2MoRu5
Radiation: Cu Kα (weighted mean of Kα1 and Kα2)
Structure: a crystal structure in Alexandria, relaxed with PBE
Lines closer than 0.1° are merged.

Most intense lines, 10° ≤ 2θ ≤ 80°, low angle first:
Position (°2θ)	d (Å)	intensity
34.02	2.635	18
36.05	2.492	61
39.09	2.304	73
39.73	2.269	35
42.04	2.149	100
42.55	2.125	41
45.32	2.001	33
60.17	1.538	19
74.12	1.279	21
77.53	1.231	23

Cell and atoms:
```
data_Zr2B2MoRu5
_cell_length_a 9.5011
_cell_length_b 9.5011
_cell_length_c 3.0759
_cell_angle_alpha 90.00
_cell_angle_beta 90.00
_cell_angle_gamma 90.00
_space_group_name_H-M_alt 'P 4/m b m'
_space_group_IT_number 127
_space_group_name_Hall '-P 4 2ab'
loop_
_atom_site_label
_atom_site_fract_x
_atom_site_fract_y
_atom_site_fract_z
Zr1 0.1760 0.3240 0.0000
B1 0.1211 0.6211 0.0000
Mo1 0.0000 0.0000 0.0000
Ru1 0.0000 0.5000 0.5000
Ru2 0.0704 0.7828 0.5000
```

[2]
Computed powder X-ray diffraction pattern
Compound: B2MoS6
Radiation: Cu Kα (weighted mean of Kα1 and Kα2)
Structure: a crystal structure in Alexandria, relaxed with PBE
Lines closer than 0.1° are merged.

Most intense lines, 10° ≤ 2θ ≤ 80°, low angle first:
Position (°2θ)	d (Å)	intensity
13.36	6.627	100
17.11	5.182	41
18.74	4.735	73
20.13	4.410	63
21.37	4.159	50
22.66	3.924	56
23.60	3.769	35
30.64	2.918	46
32.03	2.794	80
35.41	2.535	64

Cell and atoms:
```
data_B2MoS6
_cell_length_a 12.4358
_cell_length_b 13.2532
_cell_length_c 5.9625
_cell_angle_alpha 90.00
_cell_angle_beta 97.70
_cell_angle_gamma 90.00
_space_group_name_H-M_alt 'C 1 2/c 1'
_space_group_IT_number 15
loop_
_space_group_symop_operation_xyz
'x,y,z'
'-x,-y,-z'
'-x,y,-z+1/2'
'x,-y,z+1/2'
'x+1/2,y+1/2,z'
'-x+1/2,-y+1/2,-z'
'-x+1/2,y+1/2,-z+1/2'
'x+1/2,-y+1/2,z+1/2'
loop_
_atom_site_label
_atom_site_fract_x
_atom_site_fract_y
_atom_site_fract_z
B1 0.2407 0.0132 0.1141
Mo1 0.0000 0.1072 0.7500
S1 0.1044 0.0621 0.1156
S2 0.1165 0.2013 0.6204
S3 0.1759 0.4863 0.1164
```

[3]
Computed powder X-ray diffraction pattern
Compound: SmB2Mo
Radiation: Cu Kα (weighted mean of Kα1 and Kα2)
Structure: a crystal structure in Alexandria, relaxed with PBE
Lines closer than 0.1° are merged.

Most intense lines, 10° ≤ 2θ ≤ 80°, low angle first:
Position (°2θ)	d (Å)	intensity
30.39	2.941	40
32.07	2.791	100
36.72	2.448	89
51.80	1.765	31
53.99	1.699	29
61.25	1.513	17
63.22	1.471	35
64.19	1.451	14
67.07	1.395	15
78.09	1.224	9

Cell and atoms:
```
data_SmB2Mo
_cell_length_a 3.3971
_cell_length_b 3.3971
_cell_length_c 17.6461
_cell_angle_alpha 90.00
_cell_angle_beta 90.00
_cell_angle_gamma 120.00
_space_group_name_H-M_alt 'R -3 m'
_space_group_IT_number 166
_space_group_name_Hall '-R 3 2"'
loop_
_atom_site_label
_atom_site_fract_x
_atom_site_fract_y
_atom_site_fract_z
Sm1 0.0000 0.0000 0.0000
B1 0.0000 0.0000 0.2311
Mo1 0.0000 0.0000 0.5000
```

[4]
Computed powder X-ray diffraction pattern
Compound: SmB4Mo
Radiation: Cu Kα (weighted mean of Kα1 and Kα2)
Structure: a crystal structure in Alexandria, relaxed with PBE
Lines closer than 0.1° are merged.

Most intense lines, 10° ≤ 2θ ≤ 80°, low angle first:
Position (°2θ)	d (Å)	intensity
24.21	3.676	82
27.03	3.299	25
30.33	2.947	80
33.82	2.650	22
36.60	2.455	29
37.38	2.406	22
39.18	2.299	100
42.03	2.150	29
45.03	2.013	32
59.26	1.559	24

Cell and atoms:
```
data_SmB4Mo
_cell_length_a 6.0909
_cell_length_b 11.7739
_cell_length_c 3.6757
_cell_angle_alpha 90.00
_cell_angle_beta 90.00
_cell_angle_gamma 90.00
_space_group_name_H-M_alt 'P b a m'
_space_group_IT_number 55
loop_
_space_group_symop_operation_xyz
'x,y,z'
'-x,-y,-z'
'-x,-y,z'
'x,y,-z'
'x+1/2,-y+1/2,-z'
'-x+1/2,y+1/2,z'
'-x+1/2,y+1/2,-z'
'x+1/2,-y+1/2,z'
loop_
_atom_site_label
_atom_site_fract_x
_atom_site_fract_y
_atom_site_fract_z
Sm1 0.1257 0.1501 0.0000
B1 0.0247 0.6920 0.5000
B2 0.1129 0.5467 0.5000
B3 0.1355 0.9679 0.5000
B4 0.2164 0.8147 0.5000
Mo1 0.1283 0.4171 0.0000
```